# 1
Theoretical X-ray powder pattern of Li6Fe7O15 for Cu Kα X-rays, from a GGA+U-relaxed structure.

Atomic structure:
Lattice parameters (Å, degrees): 7.9313 7.9313 8.9820 101.53 101.53 28.81
Element x y z (fractional)
1 Li 0.0000 0.0000 0.0000
2 Li 0.0021 0.0021 0.6600
3 Li 0.2049 0.2049 0.4023
4 Li 0.6073 0.6073 0.8677
5 Li 0.8052 0.8052 0.6009
6 Li 0.8079 0.8079 0.2662
7 Fe 0.2088 0.2088 0.0625
8 Fe 0.2102 0.2102 0.7408
9 Fe 0.4015 0.4015 0.4599
10 Fe 0.4047 0.4047 0.1351
11 Fe 0.4074 0.4074 0.8017
12 Fe 0.5974 0.5974 0.5254
13 Fe 0.6001 0.6001 0.2044
14 O 0.1122 0.1122 0.1830
15 O 0.1119 0.1119 0.5528
16 O 0.1228 0.1228 0.8706
17 O 0.3072 0.3072 0.9351
18 O 0.3087 0.3087 0.6174
19 O 0.3106 0.3106 0.2585
20 O 0.4956 0.4956 0.6469
21 O 0.4977 0.4977 0.0077
22 O 0.5035 0.5035 0.3268
23 O 0.6850 0.6850 0.3936
24 O 0.6952 0.6952 0.0845
25 O 0.6965 0.6965 0.7125
26 O 0.8941 0.8941 0.4665
27 O 0.9042 0.9042 0.1348
28 O 0.9147 0.9147 0.7979

Principal peaks in the range 2θ = 10–90°, by angle:
2theta  I/Imax
23.30  1000
23.69  547
24.94  237
30.37  218
30.51  210
37.61  203
37.71  176
42.35  655
42.88  628
45.99  533
64.29  310
64.69  304

=====

# 2
Theoretical X-ray powder pattern of Li5Fe4O8 for Cu Kα X-rays, from a GGA+U-relaxed structure.

Atomic structure:
Lattice parameters (Å, degrees): 6.0747 6.0747 6.0747 59.88 59.88 59.88
Element x y z (fractional)
1 Li 0.0000 0.0000 0.0000
2 Li 0.3667 0.3667 0.3667
3 Li 0.4287 0.8408 0.8408
4 Li 0.8408 0.4287 0.8408
5 Li 0.8408 0.8408 0.4287
6 Fe 0.3656 0.3656 0.8659
7 Fe 0.3656 0.8659 0.3656
8 Fe 0.8530 0.8530 0.8530
9 Fe 0.8659 0.3656 0.3656
10 O 0.1090 0.1090 0.6054
11 O 0.1090 0.6054 0.1090
12 O 0.1236 0.1236 0.1236
13 O 0.1349 0.6126 0.6126
14 O 0.6054 0.1090 0.1090
15 O 0.6096 0.6096 0.6096
16 O 0.6126 0.1349 0.6126
17 O 0.6126 0.6126 0.1349

Principal peaks in the range 2θ = 10–90°, by angle:
2theta  I/Imax
17.87  1000
34.69  509
36.25  190
42.11  839
46.08  168
55.59  176
61.01  232
61.13  246
64.24  160
73.17  68
77.02  102
87.23  78

=====

# 3
Theoretical X-ray powder pattern of LiFe3O4 for Cu Kα X-rays, from a GGA+U-relaxed structure.

Atomic structure:
Lattice parameters (Å, degrees): 3.0619 5.1763 5.2106 72.85 89.38 89.98
Element x y z (fractional)
1 Li 0.0000 0.0000 0.0000
2 Fe 0.0000 0.5000 0.5000
3 Fe 0.5000 0.0000 0.5000
4 Fe 0.5000 0.5000 0.0000
5 O 0.0012 0.7359 0.7762
6 O 0.4845 0.7416 0.2535
7 O 0.5155 0.2584 0.7465
8 O 0.9988 0.2641 0.2238

Principal peaks in the range 2θ = 10–90°, by angle:
2theta  I/Imax
17.82  362
17.93  523
21.26  290
36.08  347
36.29  669
36.50  327
41.38  1000
41.76  969
43.31  869
60.00  278
60.47  278
61.74  773

=====

# 4
Theoretical X-ray powder pattern of Li3Fe5O12 for Cu Kα X-rays, from a GGA+U-relaxed structure.

Atomic structure:
Lattice parameters (Å, degrees): 5.0115 5.3541 7.3701 94.90 90.04 90.53
Element x y z (fractional)
1 Li 0.0000 0.0000 0.0000
2 Li 0.0013 0.0032 0.4884
3 Li 0.4999 0.5125 0.4954
4 Fe 0.0082 0.4194 0.2893
5 Fe 0.4888 0.9471 0.7742
6 Fe 0.5002 0.9354 0.2958
7 Fe 0.5019 0.5407 0.9866
8 Fe 0.9983 0.4182 0.7764
9 O 0.1559 0.0931 0.7361
10 O 0.1567 0.4002 0.0391
11 O 0.2009 0.7151 0.3638
12 O 0.3055 0.2182 0.3637
13 O 0.3243 0.5946 0.7461
14 O 0.3804 0.8839 0.0432
15 O 0.6253 0.9057 0.5361
16 O 0.6774 0.5932 0.2210
17 O 0.6822 0.2479 0.8742
18 O 0.7912 0.7158 0.8645
19 O 0.8235 0.1001 0.2387
20 O 0.8771 0.4110 0.5363

Principal peaks in the range 2θ = 10–90°, by angle:
2theta  I/Imax
21.45  161
24.25  1000
24.49  512
33.56  574
33.65  288
35.57  198
35.81  386
41.02  273
41.35  146
49.68  304
54.62  515
54.99  271

=====

# 5
Theoretical X-ray powder pattern of LiFeO2 for Cu Kα X-rays, from a GGA+U-relaxed structure.

Atomic structure:
Lattice parameters (Å, degrees): 2.9928 6.1443 5.0525 90.00 126.11 90.00
Element x y z (fractional)
1 Li 0.0000 0.1049 0.2500
2 Li 0.0000 0.8951 0.7500
3 Fe 0.0000 0.3537 0.7500
4 Fe 0.0000 0.6463 0.2500
5 O 0.5000 0.1442 0.7500
6 O 0.5000 0.3976 0.2500
7 O 0.5000 0.6024 0.7500
8 O 0.5000 0.8558 0.2500

Principal peaks in the range 2θ = 10–90°, by angle:
2theta  I/Imax
14.42  1000
26.21  877
33.30  344
36.61  144
40.08  101
42.15  896
44.39  406
59.16  257
60.25  105
62.02  128
62.78  227
62.96  225

=====

# 6
Theoretical X-ray powder pattern of Li15Fe2O12 for Cu Kα X-rays, from a GGA+U-relaxed structure.

Atomic structure:
Lattice parameters (Å, degrees): 5.4483 5.8250 8.0921 86.09 89.15 89.56
Element x y z (fractional)
1 Li 0.0000 0.0000 0.0000
2 Li 0.0038 0.7123 0.2970
3 Li 0.1269 0.5848 0.0155
4 Li 0.1484 0.9548 0.7146
5 Li 0.2714 0.5312 0.7344
6 Li 0.3376 0.2199 0.0618
7 Li 0.3530 0.8895 0.4491
8 Li 0.4488 0.8369 0.1580
9 Li 0.4863 0.1724 0.7709
10 Li 0.5191 0.4690 0.4905
11 Li 0.6628 0.4674 0.2019
12 Li 0.7783 0.0712 0.2623
13 Li 0.8043 0.3407 0.9280
14 Li 0.8332 0.7548 0.5700
15 Li 0.9254 0.3064 0.6364
16 Fe 0.1508 0.2843 0.3579
17 Fe 0.6421 0.7638 0.8659
18 O 0.0072 0.9802 0.4282
19 O 0.2756 0.2726 0.5997
20 O 0.3247 0.5776 0.2979
21 O 0.3461 0.9325 0.9356
22 O 0.4408 0.1255 0.2773
23 O 0.4767 0.4692 0.9288
24 O 0.4946 0.7580 0.6450
25 O 0.7879 0.7708 0.0953
26 O 0.8147 0.0591 0.8027
27 O 0.8600 0.4544 0.4233
28 O 0.9325 0.6028 0.7893
29 O 0.9956 0.2771 0.1238

Principal peaks in the range 2θ = 10–90°, by angle:
2theta  I/Imax
18.19  1000
19.42  959
19.53  917
19.79  949
22.02  721
22.29  711
22.44  690
37.05  738
37.42  656
38.07  607
49.85  536
50.60  396

=====

# 7
Theoretical X-ray powder pattern of LiFeO2 for Cu Kα X-rays, from a GGA+U-relaxed structure.

Atomic structure:
Lattice parameters (Å, degrees): 4.1225 4.1225 8.7541 90.00 90.00 90.00
Element x y z (fractional)
1 Li 0.0000 0.2500 0.3750
2 Li 0.0000 0.7500 0.6250
3 Li 0.5000 0.2500 0.1250
4 Li 0.5000 0.7500 0.8750
5 Fe 0.0000 0.2500 0.8750
6 Fe 0.0000 0.7500 0.1250
7 Fe 0.5000 0.2500 0.6250
8 Fe 0.5000 0.7500 0.3750
9 O 0.0000 0.2500 0.1075
10 O 0.0000 0.2500 0.6425
11 O 0.0000 0.7500 0.3575
12 O 0.0000 0.7500 0.8925
13 O 0.5000 0.2500 0.3925
14 O 0.5000 0.2500 0.8575
15 O 0.5000 0.7500 0.1425
16 O 0.5000 0.7500 0.6075

Principal peaks in the range 2θ = 10–90°, by angle:
2theta  I/Imax
23.86  1000
37.05  189
37.77  163
41.25  288
43.93  502
50.60  228
57.16  110
59.29  82
61.83  290
63.87  137
74.78  88
78.91  127